For Fe2O3F, a DFT-relaxed cell (PBE+U, Alexandria) gives the theoretical X-ray diffraction stick pattern in this record (Cu Kα, 1.54184 Å).
Kinematic intensities with the Lorentz-polarization factor, no thermal factor.

The 10 most intense peaks (2θ from 10° to 90°), in order of rising 2θ:
Position (°2θ)  I/Imax
25.81  100
27.94  94
35.51  98
38.40  18
39.79  17
52.08  56
54.49  53
57.75  15
61.81  18
67.58  37

Atomic structure:
```
data_Fe2O3F
_chemical_formula_sum 'Fe8 O12 F4'
_space_group_name_H-M_alt 'P 1'
_space_group_IT_number 1
_cell_length_a 7.0565
_cell_length_b 7.0565
_cell_length_c 6.9044
_cell_angle_alpha 90.00
_cell_angle_beta 90.00
_cell_angle_gamma 129.64
loop_
_space_group_symop_operation_xyz
'x,y,z'
loop_
_atom_site_label
_atom_site_fract_x
_atom_site_fract_y
_atom_site_fract_z
Fe1 0.1250 0.3750 0.7500
Fe2 0.1248 0.8752 0.7845
Fe3 0.3750 0.1250 0.2500
Fe4 0.3752 0.6248 0.2845
Fe5 0.6248 0.3752 0.7155
Fe6 0.6250 0.8750 0.7500
Fe7 0.8752 0.1248 0.2155
Fe8 0.8750 0.6250 0.2500
O1 0.0287 0.4713 0.2500
O2 0.1238 0.8762 0.0722
O3 0.2214 0.2786 0.2500
O4 0.2786 0.2214 0.7500
O5 0.3762 0.6238 0.5722
O6 0.4713 0.0287 0.7500
O7 0.5287 0.9713 0.2500
O8 0.6238 0.3762 0.4278
O9 0.7214 0.7786 0.2500
O10 0.7786 0.7214 0.7500
O11 0.8762 0.1238 0.9278
O12 0.9713 0.5287 0.7500
F1 0.1260 0.8740 0.4510
F2 0.3740 0.6260 0.9510
F3 0.6260 0.3740 0.0490
F4 0.8740 0.1260 0.5490
```